1.
Starting from a GGA-PBE-relaxed structure, the powder diffraction line list of LaPm7Sn5 was computed for Cu Kα (weighted mean of Kα1 and Kα2).
No peak broadening, texture or thermal motion is included.

Principal peaks in the range 10 to 80 degrees two-theta, low angle first:
27.49°, 3.244 Å, rel. 48.0; 31.67°, 2.825 Å, rel. 46.0; 31.91°, 2.805 Å, rel. 62.9; 32.09°, 2.790 Å, rel. 84.2; 32.79°, 2.732 Å, rel. 46.2; 35.78°, 2.510 Å, rel. 100.0

Crystal structure
```
LaPm7Sn5
1.0
-3.2715 5.6043 5.4631
3.2715 -5.6043 5.4631
3.2715 5.6043 -5.4631
La Pm Sn
1 7 5
Direct
0.0000 0.0000 0.0000
0.1246 0.4475 0.6771
0.1945 0.6945 0.5000
0.2998 0.9611 0.3387
0.3311 0.3311 0.0000
0.6225 0.9611 0.6613
0.6562 0.6562 0.0000
0.7705 0.4475 0.3229
0.4418 0.4473 0.4827
0.4418 0.9590 0.9945
0.7105 0.2105 0.5000
0.9645 0.4473 0.0055
0.9645 0.9590 0.5173
```

---

2.
Starting from a GGA-PBE-relaxed structure, the powder diffraction line list of La2Pm2Sn5 was computed for Cu Kα (weighted mean of Kα1 and Kα2).
No peak broadening, texture or thermal motion is included.

Principal peaks in the range 10 to 80 degrees two-theta, low angle first:
28.92°, 3.087 Å, rel. 70.0; 30.49°, 2.932 Å, rel. 50.5; 30.65°, 2.917 Å, rel. 28.8; 32.14°, 2.785 Å, rel. 68.5; 34.79°, 2.579 Å, rel. 100.0; 43.78°, 2.068 Å, rel. 30.0

Crystal structure
```
La2Pm2Sn5
1.0
8.4787 -4.1321 0.0000
8.4787 4.1321 0.0000
0.0000 0.0000 8.2356
La Pm Sn
4 4 10
Direct
0.1906 0.1906 0.0000
0.3094 0.3094 0.5000
0.6906 0.6906 0.5000
0.8094 0.8094 0.0000
0.1702 0.8298 0.6698
0.3298 0.6702 0.1698
0.6702 0.3298 0.8302
0.8298 0.1702 0.3302
0.0000 0.0000 0.0000
0.0061 0.2574 0.6253
0.2426 0.4939 0.8747
0.2574 0.0061 0.3747
0.4939 0.2426 0.1253
0.5000 0.5000 0.5000
0.5061 0.7574 0.8747
0.7426 0.9939 0.6253
0.7574 0.5061 0.1253
0.9939 0.7426 0.3747
```

---

3.
Starting from a GGA-PBE-relaxed structure, the powder diffraction line list of LaPm5Sn3 was computed for Cu Kα (weighted mean of Kα1 and Kα2).
No peak broadening, texture or thermal motion is included.

Principal peaks in the range 10 to 80 degrees two-theta, low angle first:
32.24°, 2.776 Å, rel. 100.0; 32.40°, 2.763 Å, rel. 89.8; 46.36°, 1.958 Å, rel. 33.3; 57.50°, 1.603 Å, rel. 19.4; 57.60°, 1.600 Å, rel. 35.1; 64.62°, 1.442 Å, rel. 27.5

Crystal structure
```
LaPm5Sn3
1.0
9.6172 0.0000 0.0000
-4.8086 8.3288 0.0000
0.0000 0.0000 6.7514
La Pm Sn
2 10 6
Direct
0.0000 0.0000 0.0000
0.0000 0.0000 0.5000
0.0000 0.3327 0.2500
0.0000 0.6673 0.7500
0.3327 0.0000 0.2500
0.3327 0.3327 0.7500
0.3333 0.6667 0.0000
0.3333 0.6667 0.5000
0.6673 0.0000 0.7500
0.6667 0.3333 0.0000
0.6667 0.3333 0.5000
0.6673 0.6673 0.2500
0.0000 0.3358 0.7500
0.0000 0.6642 0.2500
0.3358 0.0000 0.7500
0.3358 0.3358 0.2500
0.6642 0.0000 0.2500
0.6642 0.6642 0.7500
```

---

4.
Starting from a GGA-PBE-relaxed structure, the powder diffraction line list of La14TbPm was computed for Cu Kα (weighted mean of Kα1 and Kα2).
No peak broadening, texture or thermal motion is included.

Principal peaks in the range 10 to 80 degrees two-theta, low angle first:
29.46°, 3.032 Å, rel. 13.8; 29.92°, 2.987 Å, rel. 33.4; 30.33°, 2.947 Å, rel. 100.0; 30.71°, 2.912 Å, rel. 22.0; 43.42°, 2.084 Å, rel. 23.0; 53.37°, 1.717 Å, rel. 20.0

Crystal structure
```
La14TbPm
1.0
11.9472 0.0000 0.0000
0.0000 5.8233 4.1650
0.0000 -5.8233 4.1650
La Tb Pm
14 1 1
Direct
0.0000 0.0000 0.0000
0.0000 0.4334 0.4334
0.0000 0.5224 0.9476
0.0000 0.9476 0.5224
0.2472 0.2372 0.8076
0.2472 0.8076 0.2372
0.2513 0.3097 0.3097
0.2596 0.7419 0.7419
0.5000 0.5150 0.9653
0.5000 0.9653 0.5150
0.7404 0.7419 0.7419
0.7487 0.3097 0.3097
0.7528 0.2372 0.8076
0.7528 0.8076 0.2372
0.5000 0.0317 0.0317
0.5000 0.4589 0.4589
```

---

5.
Starting from a GGA-PBE-relaxed structure, the powder diffraction line list of La5Tb2Pm was computed for Cu Kα (weighted mean of Kα1 and Kα2).
No peak broadening, texture or thermal motion is included.

Principal peaks in the range 10 to 80 degrees two-theta, low angle first:
29.29°, 3.050 Å, rel. 100.0; 31.34°, 2.855 Å, rel. 56.4; 40.88°, 2.207 Å, rel. 16.1; 50.61°, 1.804 Å, rel. 11.2; 58.52°, 1.577 Å, rel. 24.9; 64.33°, 1.448 Å, rel. 10.6

Crystal structure
```
La5Tb2Pm
1.0
-4.5135 4.5135 6.9810
4.5135 -4.5135 6.9810
4.5135 4.5135 -6.9810
La Tb Pm
10 4 2
Direct
0.0000 0.0000 0.0000
0.0164 0.5164 0.2023
0.1859 0.9836 0.5000
0.3141 0.8141 0.7977
0.4836 0.6859 0.5000
0.5000 0.5000 0.0000
0.5164 0.3141 0.5000
0.6859 0.1859 0.2023
0.8141 0.0164 0.5000
0.9836 0.4836 0.7977
0.1454 0.3546 0.5000
0.3546 0.8546 0.2093
0.6454 0.1454 0.7907
0.8546 0.6454 0.5000
0.2500 0.2500 0.0000
0.7500 0.7500 0.0000
```

---

6.
Starting from a GGA-PBE-relaxed structure, the powder diffraction line list of La3Tb4Pm2 was computed for Cu Kα (weighted mean of Kα1 and Kα2).
No peak broadening, texture or thermal motion is included.

Principal peaks in the range 10 to 80 degrees two-theta, low angle first:
29.75°, 3.003 Å, rel. 50.4; 29.92°, 2.986 Å, rel. 100.0; 31.47°, 2.842 Å, rel. 87.6; 36.73°, 2.447 Å, rel. 29.4; 36.86°, 2.439 Å, rel. 27.9; 54.27°, 1.690 Å, rel. 18.6

Crystal structure
```
La3Tb4Pm2
1.0
8.3263 -5.9681 0.0000
8.3263 5.9681 0.0000
-0.8344 0.0000 6.1583
La Tb Pm
6 8 4
Direct
0.1256 0.8744 0.7500
0.2029 0.4678 0.9128
0.4678 0.2029 0.4128
0.5322 0.7971 0.5872
0.7971 0.5322 0.0872
0.8744 0.1256 0.2500
0.1034 0.3473 0.3635
0.3234 0.5656 0.4653
0.3473 0.1034 0.8635
0.4344 0.6766 0.0347
0.5656 0.3234 0.9653
0.6527 0.8966 0.1365
0.6766 0.4344 0.5347
0.8966 0.6527 0.6365
0.0148 0.7595 0.2021
0.2405 0.9852 0.2979
0.7595 0.0148 0.7021
0.9852 0.2405 0.7979
```

---

7.
Starting from a GGA-PBE-relaxed structure, the powder diffraction line list of La7Tb2Pm2 was computed for Cu Kα (weighted mean of Kα1 and Kα2).
No peak broadening, texture or thermal motion is included.

Principal peaks in the range 10 to 80 degrees two-theta, low angle first:
29.76°, 3.002 Å, rel. 28.9; 30.50°, 2.931 Å, rel. 100.0; 30.70°, 2.912 Å, rel. 40.8; 30.96°, 2.889 Å, rel. 24.4; 32.97°, 2.716 Å, rel. 33.6; 33.28°, 2.692 Å, rel. 31.9

Crystal structure
```
La7Tb2Pm2
1.0
5.8103 -5.8239 0.0000
5.8103 5.8239 0.0000
-2.2804 0.0000 5.8155
La Tb Pm
7 2 2
Direct
0.0000 0.0000 0.0000
0.0462 0.5837 0.8190
0.4163 0.9538 0.1810
0.4250 0.4250 0.1977
0.5750 0.5750 0.8023
0.5837 0.0462 0.8190
0.9538 0.4163 0.1810
0.2133 0.7867 0.5000
0.7867 0.2133 0.5000
0.2273 0.2273 0.5927
0.7727 0.7727 0.4073
```

---

8.
Starting from a GGA-PBE-relaxed structure, the powder diffraction line list of LaTb3Pm5 was computed for Cu Kα (weighted mean of Kα1 and Kα2).
No peak broadening, texture or thermal motion is included.

Principal peaks in the range 10 to 80 degrees two-theta, low angle first:
28.82°, 3.098 Å, rel. 57.6; 30.11°, 2.968 Å, rel. 60.8; 30.22°, 2.957 Å, rel. 100.0; 32.56°, 2.750 Å, rel. 57.4; 38.17°, 2.358 Å, rel. 32.8; 57.05°, 1.614 Å, rel. 28.7

Crystal structure
```
LaTb3Pm5
1.0
8.9038 -4.7195 0.0000
8.9038 4.7195 0.0000
0.0000 0.0000 7.3157
La Tb Pm
2 6 10
Direct
0.1946 0.8054 0.7500
0.8054 0.1946 0.2500
0.3202 0.3216 0.7500
0.3216 0.3202 0.2500
0.5000 0.5000 0.0000
0.5000 0.5000 0.5000
0.6784 0.6798 0.7500
0.6798 0.6784 0.2500
0.0116 0.6584 0.0001
0.0116 0.6584 0.4999
0.1672 0.8328 0.2500
0.3416 0.9884 0.0001
0.3416 0.9884 0.4999
0.6584 0.0116 0.9999
0.6584 0.0116 0.5001
0.8328 0.1672 0.7500
0.9884 0.3416 0.9999
0.9884 0.3416 0.5001
```

---

9.
Starting from a GGA-PBE-relaxed structure, the powder diffraction line list of La8TbPm3 was computed for Cu Kα (weighted mean of Kα1 and Kα2).
No peak broadening, texture or thermal motion is included.

Principal peaks in the range 10 to 80 degrees two-theta, low angle first:
30.13°, 2.966 Å, rel. 43.0; 30.27°, 2.952 Å, rel. 54.6; 30.49°, 2.931 Å, rel. 26.5; 31.05°, 2.880 Å, rel. 100.0; 34.15°, 2.626 Å, rel. 32.7; 49.10°, 1.855 Å, rel. 22.2

Crystal structure
```
La8TbPm3
1.0
-3.4304 5.6447 5.9044
3.4304 -5.6447 5.9044
3.4304 5.6447 -5.9044
La Tb Pm
8 1 3
Direct
0.0841 0.2479 0.8362
0.2719 0.2234 0.4953
0.2719 0.7766 0.0485
0.4118 0.2479 0.1638
0.5882 0.7521 0.8362
0.7281 0.2234 0.9515
0.7281 0.7766 0.5047
0.9159 0.7521 0.1638
0.0000 0.0000 0.0000
0.2575 0.7575 0.5000
0.5000 0.5000 0.0000
0.7425 0.2425 0.5000
```

---

10.
Starting from a GGA-PBE-relaxed structure, the powder diffraction line list of La11Tb4Pm9 was computed for Cu Kα (weighted mean of Kα1 and Kα2).
No peak broadening, texture or thermal motion is included.

Principal peaks in the range 10 to 80 degrees two-theta, low angle first:
28.88°, 3.092 Å, rel. 98.9; 29.36°, 3.042 Å, rel. 30.2; 30.24°, 2.955 Å, rel. 31.3; 31.46°, 2.844 Å, rel. 83.9; 31.59°, 2.833 Å, rel. 100.0; 57.73°, 1.597 Å, rel. 28.1

Crystal structure
```
La11Tb4Pm9
1.0
8.7053 -13.1869 0.0000
8.7053 13.1869 0.0000
0.0000 0.0000 3.7300
La Tb Pm
11 4 9
Direct
0.0000 0.0000 0.0000
0.0426 0.4038 0.0000
0.1611 0.8389 0.0000
0.2918 0.2918 0.0000
0.3693 0.6307 0.0000
0.4038 0.0426 0.0000
0.5962 0.9574 0.0000
0.6307 0.3693 0.0000
0.7082 0.7082 0.0000
0.8389 0.1611 0.0000
0.9574 0.5962 0.0000
0.2402 0.4438 0.5000
0.4438 0.2402 0.5000
0.5562 0.7598 0.5000
0.7598 0.5562 0.5000
0.0664 0.2132 0.5000
0.1657 0.6303 0.5000
0.2132 0.0664 0.5000
0.3697 0.8343 0.5000
0.5000 0.5000 0.5000
0.6303 0.1657 0.5000
0.7868 0.9336 0.5000
0.8343 0.3697 0.5000
0.9336 0.7868 0.5000
```

---

11.
Starting from a GGA-PBE-relaxed structure, the powder diffraction line list of LaTb2Pm9 was computed for Cu Kα (weighted mean of Kα1 and Kα2).
No peak broadening, texture or thermal motion is included.

Principal peaks in the range 10 to 80 degrees two-theta, low angle first:
30.03°, 2.975 Å, rel. 100.0; 34.82°, 2.577 Å, rel. 50.7; 50.06°, 1.822 Å, rel. 36.2; 59.49°, 1.554 Å, rel. 43.1; 62.42°, 1.488 Å, rel. 12.4; 73.55°, 1.288 Å, rel. 3.8

Crystal structure
```
LaTb2Pm9
1.0
5.1506 0.0000 0.0000
0.0000 5.1506 0.0000
0.0000 0.0000 15.4784
La Tb Pm
1 2 9
Direct
0.0000 0.0000 0.0000
0.0000 0.0000 0.3344
0.0000 0.0000 0.6656
0.0000 0.5000 0.1697
0.0000 0.5000 0.5000
0.0000 0.5000 0.8303
0.5000 0.0000 0.1697
0.5000 0.0000 0.5000
0.5000 0.0000 0.8303
0.5000 0.5000 0.0000
0.5000 0.5000 0.3356
0.5000 0.5000 0.6644
```

---

12.
Starting from a GGA-PBE-relaxed structure, the powder diffraction line list of La4Tb3Pm was computed for Cu Kα (weighted mean of Kα1 and Kα2).
No peak broadening, texture or thermal motion is included.

Principal peaks in the range 10 to 80 degrees two-theta, low angle first:
27.83°, 3.205 Å, rel. 23.5; 30.29°, 2.951 Å, rel. 25.2; 31.77°, 2.817 Å, rel. 100.0; 41.60°, 2.171 Å, rel. 15.9; 54.74°, 1.677 Å, rel. 21.3; 58.87°, 1.569 Å, rel. 15.2

Crystal structure
```
La4Tb3Pm
1.0
11.8043 0.0000 0.0000
0.0000 7.3907 0.0000
0.0000 0.0000 6.4216
La Tb Pm
8 6 2
Direct
0.0000 0.1268 0.0000
0.0000 0.8710 0.5122
0.2455 0.1255 0.3331
0.2545 0.8745 0.8331
0.5000 0.1290 0.0122
0.5000 0.8732 0.5000
0.7455 0.8745 0.8331
0.7545 0.1255 0.3331
0.0000 0.3802 0.5029
0.2496 0.3788 0.8344
0.2504 0.6212 0.3344
0.5000 0.6198 0.0029
0.7504 0.3788 0.8344
0.7496 0.6212 0.3344
0.0000 0.6248 0.0052
0.5000 0.3752 0.5052
```

---

Copy entry 4 word for word.
Starting from a GGA-PBE-relaxed structure, the powder diffraction line list of La14TbPm was computed for Cu Kα (weighted mean of Kα1 and Kα2).
No peak broadening, texture or thermal motion is included.

Principal peaks in the range 10 to 80 degrees two-theta, low angle first:
29.46°, 3.032 Å, rel. 13.8; 29.92°, 2.987 Å, rel. 33.4; 30.33°, 2.947 Å, rel. 100.0; 30.71°, 2.912 Å, rel. 22.0; 43.42°, 2.084 Å, rel. 23.0; 53.37°, 1.717 Å, rel. 20.0

Crystal structure
```
La14TbPm
1.0
11.9472 0.0000 0.0000
0.0000 5.8233 4.1650
0.0000 -5.8233 4.1650
La Tb Pm
14 1 1
Direct
0.0000 0.0000 0.0000
0.0000 0.4334 0.4334
0.0000 0.5224 0.9476
0.0000 0.9476 0.5224
0.2472 0.2372 0.8076
0.2472 0.8076 0.2372
0.2513 0.3097 0.3097
0.2596 0.7419 0.7419
0.5000 0.5150 0.9653
0.5000 0.9653 0.5150
0.7404 0.7419 0.7419
0.7487 0.3097 0.3097
0.7528 0.2372 0.8076
0.7528 0.8076 0.2372
0.5000 0.0317 0.0317
0.5000 0.4589 0.4589
```